Calculated powder diffraction line list of CsTl7Pb2 for λ = 1.5418 Å (Cu Kα), from the PBE geometry in Alexandria.
No peak broadening, texture or thermal motion is included.

Crystal structure
```
CsTl7Pb2
1.0
5.524 -6.845 0.000
5.524 6.845 0.000
0.000 0.000 5.519
Cs Tl Pb
1 7 2
direct
0.000 0.000 0.000
0.127 0.380 0.500
0.362 0.638 0.000
0.380 0.127 0.500
0.500 0.500 0.500
0.620 0.873 0.500
0.638 0.362 0.000
0.873 0.620 0.500
0.235 0.765 0.500
0.765 0.235 0.500
```

Largest 10 diffraction maxima, by angle, 15° ≤ 2θ ≤ 90°:
Position (°2θ)  I (rel.)
16.1  54
22.8  29
26.6  46
30.7  34
32.4  86
34.9  100
35.3  25
45.3  24
46.5  32
59.4  44

Calculated powder diffraction line list of Cs6Tl3Pb for λ = 1.5418 Å (Cu Kα), from the PBE geometry in Alexandria.
No peak broadening, texture or thermal motion is included.

Crystal structure
```
Cs6Tl3Pb
1.0
5.901 3.407 4.905
-5.901 3.407 4.905
0.000 -6.814 4.905
Cs Tl Pb
6 3 1
direct
0.003 0.317 0.680
0.192 0.810 0.498
0.317 0.680 0.003
0.498 0.192 0.810
0.680 0.003 0.317
0.810 0.498 0.192
0.098 0.098 0.098
0.692 0.692 0.692
0.891 0.891 0.891
0.296 0.296 0.296
```

Largest 10 diffraction maxima, by angle, 15° ≤ 2θ ≤ 90°:
Position (°2θ)  I (rel.)
15.0  25
23.6  52
26.2  100
31.6  17
35.5  16
38.5  20
44.4  14
44.6  15
46.1  21
53.8  12

Calculated powder diffraction line list of Cs2Tl2Pb for λ = 1.5418 Å (Cu Kα), from the PBE geometry in Alexandria.
No peak broadening, texture or thermal motion is included.

Crystal structure
```
Cs2Tl2Pb
1.0
6.615 -4.278 0.000
6.615 4.278 0.000
-2.900 0.000 8.308
Cs Tl Pb
4 4 2
direct
0.120 0.235 0.153
0.235 0.120 0.653
0.765 0.880 0.347
0.880 0.765 0.847
0.300 0.565 0.562
0.435 0.700 0.938
0.565 0.300 0.062
0.700 0.435 0.438
0.301 0.699 0.250
0.699 0.301 0.750
```

Largest 10 diffraction maxima, by angle, 15° ≤ 2θ ≤ 90°:
Position (°2θ)  I (rel.)
23.8  84
25.2  47
25.5  84
26.9  100
28.9  90
29.6  89
30.0  41
32.2  69
32.5  88
46.9  33

Calculated powder diffraction line list of CsTl2Pb6 for λ = 1.5418 Å (Cu Kα), from the PBE geometry in Alexandria.
No peak broadening, texture or thermal motion is included.

Crystal structure
```
CsTl2Pb6
1.0
5.117 0.000 0.000
0.000 5.117 0.000
0.000 0.000 12.275
Cs Tl Pb
1 2 6
direct
0.000 0.000 0.000
0.500 0.500 0.137
0.500 0.500 0.863
0.000 0.000 0.500
0.000 0.500 0.307
0.000 0.500 0.693
0.500 0.000 0.307
0.500 0.000 0.693
0.500 0.500 0.500
```

Largest 10 diffraction maxima, by angle, 15° ≤ 2θ ≤ 90°:
Position (°2θ)  I (rel.)
27.9  19
28.6  97
33.0  100
35.1  74
50.4  27
51.6  25
59.0  26
61.6  35
66.1  21
87.6  21

Calculated powder diffraction line list of CsTl5Pb for λ = 1.5418 Å (Cu Kα), from the PBE geometry in Alexandria.
No peak broadening, texture or thermal motion is included.

Crystal structure
```
CsTl5Pb
1.0
3.326 -4.812 0.000
3.326 4.812 0.000
0.000 0.000 8.987
Cs Tl Pb
1 5 1
direct
0.000 0.000 0.000
0.000 0.000 0.500
0.000 0.500 0.300
0.000 0.500 0.700
0.500 0.000 0.300
0.500 0.000 0.700
0.500 0.500 0.500
```

Largest 10 diffraction maxima, by angle, 15° ≤ 2θ ≤ 90°:
Position (°2θ)  I (rel.)
27.2  100
32.7  79
33.5  58
34.3  21
35.3  31
37.4  28
40.5  21
51.1  37
56.3  19
62.6  20

Calculated powder diffraction line list of Cs3Tl2Pb8 for λ = 1.5418 Å (Cu Kα), from the PBE geometry in Alexandria.
No peak broadening, texture or thermal motion is included.

Crystal structure
```
Cs3Tl2Pb8
1.0
3.497 2.019 13.572
-3.497 2.019 13.572
0.000 -4.038 13.572
Cs Tl Pb
3 2 8
direct
0.000 0.000 0.000
0.246 0.246 0.246
0.754 0.754 0.754
0.411 0.411 0.411
0.589 0.589 0.589
0.185 0.702 0.702
0.298 0.298 0.815
0.298 0.815 0.298
0.339 0.339 0.339
0.661 0.661 0.661
0.702 0.185 0.702
0.702 0.702 0.185
0.815 0.298 0.298
```

Largest 10 diffraction maxima, by angle, 15° ≤ 2θ ≤ 90°:
Position (°2θ)  I (rel.)
25.5  34
26.3  82
29.8  43
31.5  81
33.0  28
36.9  100
41.5  34
52.3  46
52.8  32
63.3  26